# 1
# Ba3AlAg
Calculated powder XRD pattern, Cu Kα (λ = 1.5418 Å). Input: a cell relaxed with GGA-PBE.
Peak positions follow from Bragg's law for the DFT cell and can differ from measured ones.

Structural model:
```
Ba3AlAg
1.0
9.759 0.000 0.000
0.000 4.681 0.000
-3.758 0.000 9.166
Ba Al Ag
6 2 2
direct
0.093 0.250 0.227
0.310 0.250 0.926
0.356 0.750 0.585
0.644 0.250 0.415
0.690 0.750 0.074
0.907 0.750 0.773
0.040 0.250 0.567
0.960 0.750 0.433
0.371 0.750 0.204
0.629 0.250 0.796
```

Principal peaks in the range 10° ≤ 2θ ≤ 90°, sorted by position:
2theta	I/Imax
25.03	100
26.48	35
27.03	40
27.23	32
27.45	62
29.02	60
29.68	26
33.22	25
34.37	27
38.46	36


# 2
# KTl2CdHg4
Calculated powder XRD pattern, Cu Kα (λ = 1.5418 Å). Input: a cell relaxed with GGA-PBE.
Peak positions follow from Bragg's law for the DFT cell and can differ from measured ones.

Structural model:
```
KTl2CdHg4
1.0
2.575 1.487 10.640
-2.575 1.487 10.640
0.000 -2.974 10.640
K Tl Cd Hg
1 2 1 4
direct
0.000 0.000 0.000
0.240 0.240 0.240
0.760 0.760 0.760
0.500 0.500 0.500
0.134 0.134 0.134
0.393 0.393 0.393
0.607 0.607 0.607
0.866 0.866 0.866
```

Principal peaks in the range 10° ≤ 2θ ≤ 90°, sorted by position:
2theta	I/Imax
30.05	100
34.84	100
36.96	38
46.65	30
58.73	18
59.52	29
62.46	21
63.85	16
73.55	15
80.75	15


# 3
# Tb3PmMg2
Calculated powder XRD pattern, Cu Kα (λ = 1.5418 Å). Input: a cell relaxed with GGA-PBE.
Peak positions follow from Bragg's law for the DFT cell and can differ from measured ones.

Structural model:
```
Tb3PmMg2
1.0
3.703 0.000 0.000
0.000 3.703 0.000
0.000 0.000 12.875
Tb Pm Mg
3 1 2
direct
0.000 0.000 0.000
0.000 0.000 0.306
0.000 0.000 0.694
0.500 0.500 0.500
0.500 0.500 0.152
0.500 0.500 0.848
```

Principal peaks in the range 10° ≤ 2θ ≤ 90°, sorted by position:
2theta	I/Imax
20.70	10
24.03	19
25.02	13
27.76	25
31.92	100
34.24	47
49.21	17
55.35	14
55.81	11
59.86	33